No. 1
Structure and calculated X-ray diffraction stick pattern of MgTiCo3O8 (a structure optimized by DFT (PBE+U); Cu Ka).
Lines closer than 0.1° are merged.

Structure:
Cell: 5.824 5.824 6.126 Å, 120.20 120.20 59.99°
Fractional coordinates of all 13 atoms:
Mg: 0.000 0.000 0.000
Ti: 0.000 0.000 0.500
Co: 0.000 0.500 0.500
Co: 0.500 0.000 0.500
Co: 0.500 0.500 0.500
O: 0.213 0.745 0.711
O: 0.242 0.242 0.695
O: 0.251 0.251 0.297
O: 0.255 0.787 0.289
O: 0.745 0.213 0.711
O: 0.749 0.749 0.703
O: 0.758 0.758 0.305
O: 0.787 0.255 0.289

Largest 12 diffraction maxima, low angle first, 2θ = 15–90°:
2θ = 17.8°, rel. 100; 2θ = 36.0°, rel. 25; 2θ = 36.4°, rel. 11; 2θ = 37.9°, rel. 8; 2θ = 42.9°, rel. 43; 2θ = 44.1°, rel. 20; 2θ = 47.6°, rel. 6; 2θ = 55.8°, rel. 10; 2θ = 60.5°, rel. 6; 2θ = 62.4°, rel. 11; 2θ = 64.0°, rel. 17; 2θ = 81.0°, rel. 9

***

No. 2
Structure and calculated X-ray diffraction stick pattern of MnAlPH4O7 (a structure optimized by DFT (PBE+U); Cu Ka).
Lines closer than 0.1° are merged.

Structure:
Cell: 6.521 6.521 13.575 Å, 90.00 90.00 109.69°
Fractional coordinates of all 56 atoms:
Mn: 0.130 0.370 0.250
Mn: 0.370 0.130 0.750
Mn: 0.630 0.870 0.250
Mn: 0.870 0.630 0.750
Al: 0.000 0.500 0.000
Al: 0.000 0.500 0.500
Al: 0.500 0.000 0.000
Al: 0.500 0.000 0.500
P: 0.132 0.868 0.336
P: 0.368 0.632 0.836
P: 0.632 0.368 0.164
P: 0.868 0.132 0.664
H: 0.065 0.737 0.122
H: 0.192 0.279 0.429
H: 0.221 0.308 0.071
H: 0.237 0.565 0.622
H: 0.263 0.935 0.122
H: 0.279 0.192 0.571
H: 0.308 0.221 0.929
H: 0.435 0.763 0.622
H: 0.565 0.237 0.378
H: 0.692 0.779 0.071
H: 0.721 0.808 0.429
H: 0.737 0.065 0.878
H: 0.763 0.435 0.378
H: 0.779 0.692 0.929
H: 0.808 0.721 0.571
H: 0.935 0.263 0.878
O: 0.007 0.993 0.278
O: 0.031 0.301 0.594
O: 0.109 0.367 0.093
O: 0.133 0.391 0.407
O: 0.170 0.830 0.074
O: 0.199 0.469 0.906
O: 0.245 0.755 0.266
O: 0.255 0.745 0.766
O: 0.301 0.031 0.406
O: 0.330 0.670 0.574
O: 0.367 0.109 0.907
O: 0.391 0.133 0.593
O: 0.469 0.199 0.094
O: 0.493 0.507 0.778
O: 0.507 0.493 0.222
O: 0.531 0.801 0.906
O: 0.609 0.867 0.407
O: 0.633 0.891 0.093
O: 0.670 0.330 0.426
O: 0.699 0.969 0.594
O: 0.745 0.255 0.234
O: 0.755 0.245 0.734
O: 0.801 0.531 0.094
O: 0.830 0.170 0.926
O: 0.867 0.609 0.593
O: 0.891 0.633 0.907
O: 0.969 0.699 0.406
O: 0.993 0.007 0.722

Largest 12 diffraction maxima, low angle first, 2θ = 15–90°:
2θ = 16.6°, rel. 18; 2θ = 19.5°, rel. 16; 2θ = 21.2°, rel. 15; 2θ = 23.7°, rel. 13; 2θ = 24.4°, rel. 18; 2θ = 25.8°, rel. 34; 2θ = 29.8°, rel. 100; 2θ = 33.6°, rel. 17; 2θ = 37.2°, rel. 15; 2θ = 43.7°, rel. 23; 2θ = 48.5°, rel. 17; 2θ = 58.9°, rel. 33

***

No. 3
Structure and calculated X-ray diffraction stick pattern of K3Co2F7 (a structure optimized by DFT (PBE+U); Cu Ka).
Lines closer than 0.1° are merged.

Structure:
Cell: 11.358 11.358 11.358 Å, 159.34 159.34 29.38°
Fractional coordinates of all 12 atoms:
K: 0.000 0.000 0.000
K: 0.186 0.186 0.000
K: 0.814 0.814 0.000
Co: 0.404 0.404 0.000
Co: 0.596 0.596 0.000
F: 0.095 0.595 0.500
F: 0.308 0.308 0.000
F: 0.405 0.905 0.500
F: 0.500 0.500 0.000
F: 0.595 0.095 0.500
F: 0.692 0.692 0.000
F: 0.905 0.405 0.500

Largest 12 diffraction maxima, low angle first, 2θ = 15–90°:
2θ = 16.1°, rel. 28; 2θ = 22.2°, rel. 27; 2θ = 29.9°, rel. 100; 2θ = 31.0°, rel. 72; 2θ = 39.8°, rel. 14; 2θ = 41.1°, rel. 36; 2θ = 44.5°, rel. 69; 2θ = 52.4°, rel. 22; 2θ = 54.5°, rel. 34; 2θ = 62.1°, rel. 35; 2θ = 64.7°, rel. 19; 2θ = 79.6°, rel. 15

***

No. 4
Structure and calculated X-ray diffraction stick pattern of MnF2 (a structure optimized by DFT (PBE+U); Cu Ka).
Lines closer than 0.1° are merged.

Structure:
Cell: 4.962 4.962 3.348 Å, 90.00 90.00 90.00°
Fractional coordinates of all 6 atoms:
Mn: 0.000 0.000 0.000
Mn: 0.500 0.500 0.500
F: 0.195 0.195 0.500
F: 0.305 0.695 0.000
F: 0.695 0.305 0.000
F: 0.805 0.805 0.500

Largest 12 diffraction maxima, low angle first, 2θ = 15–90°:
2θ = 25.4°, rel. 100; 2θ = 32.3°, rel. 51; 2θ = 37.1°, rel. 23; 2θ = 40.7°, rel. 8; 2θ = 49.3°, rel. 69; 2θ = 52.1°, rel. 20; 2θ = 54.8°, rel. 12; 2θ = 58.9°, rel. 9; 2θ = 61.4°, rel. 14; 2θ = 62.6°, rel. 26; 2θ = 79.1°, rel. 10; 2θ = 85.8°, rel. 8